Calculated PXRD pattern
Compound: NaPa2MoN5
Radiation: Cu Kα (λ = 1.5418 Å)
Structure: a structure optimized by DFT (PBE)
Kinematic intensities with the Lorentz-polarization factor, no thermal factor.

a b c (Å): 7.4138 7.4138 7.4138
angles (deg): 126.46 126.46 79.14
Fractional coordinates of all 18 atoms:
Na 0.2500 0.2500 0.0000
Na 0.7500 0.7500 0.0000
Pa 0.1812 0.6812 0.8624
Pa 0.3188 0.1812 0.5000
Pa 0.6812 0.8188 0.5000
Pa 0.8188 0.3188 0.1376
Mo 0.2500 0.7500 0.5000
Mo 0.7500 0.2500 0.5000
N 0.0000 0.0000 0.0000
N 0.0116 0.2236 0.5000
N 0.2236 0.7236 0.2120
N 0.2764 0.4884 0.5000
N 0.4884 0.9884 0.2120
N 0.5000 0.5000 0.0000
N 0.5116 0.0116 0.7880
N 0.7236 0.5116 0.5000
N 0.7764 0.2764 0.7880
N 0.9884 0.7764 0.5000

Largest 10 diffraction maxima, sorted by position, 10° ≤ 2θ ≤ 90°:
2θ 15.50, intensity 44.7; 2θ 18.79, intensity 13.9; 2θ 30.98, intensity 100.0; 2θ 31.30, intensity 21.6; 2θ 38.29, intensity 42.3; 2θ 45.80, intensity 15.1; 2θ 50.26, intensity 18.2; 2θ 57.47, intensity 19.3; 2θ 62.28, intensity 15.5; 2θ 71.37, intensity 10.2